Starting from DFT lattice parameters and positions (PBE), the PXRD pattern of Dy2Mn16Co was calculated for Cu Kα.
Neutral-atom scattering factors, no anomalous dispersion.

Structural model:
a b c (Å): 8.6475 8.6475 11.6254
angles (deg): 90.00 90.00 120.00
Space group R3m (No. 160, hexagonal axes)
Asymmetric unit:
Dy 0.0000 0.0000 0.0000 (multiplicity 3)
Dy 0.0000 0.0000 0.2970 (multiplicity 3)
Mn 0.0000 0.0000 0.7475 (multiplicity 3)
Mn 0.9996 0.4998 0.1486 (multiplicity 9)
Mn 0.0130 0.5065 0.5117 (multiplicity 9)
Mn 0.0622 0.3948 0.3146 (multiplicity 18)
Mn 0.1738 0.3476 0.1186 (multiplicity 9)
Co 0.0000 0.0000 0.5414 (multiplicity 3)

Main lines, in order of rising 2θ (10 to 90 degrees two-theta):
| 2theta | I (rel.) | (hkl) |
| --- | --- | --- |
| 30.99 | 48 | 1 1 3 |
| 32.56 | 29 | 2 1 1 |
| 35.98 | 49 | 3 0 0 |
| 39.24 | 68 | 0 2 4 |
| 41.78 | 97 | 2 2 0 |
| 43.10 | 100 | 3 0 3 |
| 44.69 | 36 | 2 1 4 |
| 45.94 | 28 | 2 0 5 |
| 46.89 | 22 | 0 0 6 |
| 61.59 | 32 | 1 4 3 |
| 62.83 | 19 | 3 2 4 |
| 76.28 | 18 | 6 0 0 |


Starting from DFT lattice parameters and positions (PBE), the PXRD pattern of DyMnCo10 was calculated for Cu Kα.
Neutral-atom scattering factors, no anomalous dispersion.

Structural model:
a b c (Å): 4.013 4.752 8.334
angles (deg): 90.00 90.00 90.00
Space group Pmmm (No. 47)
Asymmetric unit:
Dy 0.000 0.000 0.000 (multiplicity 1)
Mn 0.000 0.500 0.500 (multiplicity 1)
Co 0.000 0.000 0.347 (multiplicity 2)
Co 0.000 0.500 0.199 (multiplicity 2)
Co 0.500 0.000 0.500 (multiplicity 1)
Co 0.500 0.252 0.254 (multiplicity 4)
Co 0.500 0.500 0.000 (multiplicity 1)

Main lines, in order of rising 2θ (10 to 90 degrees two-theta):
| 2theta | I (rel.) | (hkl) |
| --- | --- | --- |
| 30.93 | 17 | 1 0 2 |
| 31.08 | 44 | 1 1 1 |
| 37.50 | 25 | 0 1 3 |
| 43.43 | 23 | 0 0 4 |
| 43.86 | 32 | 0 2 2 |
| 43.98 | 100 | 1 1 3 |
| 44.30 | 53 | 1 2 0 |
| 45.18 | 51 | 2 0 0 |
| 49.67 | 19 | 1 2 2 |
| 60.12 | 16 | 2 1 3 |
| 64.80 | 19 | 2 2 2 |
| 72.63 | 21 | 1 3 3 |


Starting from DFT lattice parameters and positions (PBE), the PXRD pattern of DyCoMo was calculated for Cu Kα.
Neutral-atom scattering factors, no anomalous dispersion.

Structural model:
a b c (Å): 6.246 6.246 6.544
angles (deg): 90.00 90.00 90.00
Space group P4_12_12 (No. 92)
Asymmetric unit:
Dy 0.232 0.232 0.000 (multiplicity 4)
Co 0.071 0.929 0.750 (multiplicity 4)
Mo 0.166 0.166 0.500 (multiplicity 4)

Main lines, in order of rising 2θ (10 to 90 degrees two-theta):
| 2theta | I (rel.) | (hkl) |
| --- | --- | --- |
| 20.10 | 20 | 1 1 0 |
| 28.58 | 37 | 2 0 0 |
| 32.04 | 15 | 2 1 0 |
| 34.10 | 100 | 1 1 2 |
| 34.92 | 38 | 2 1 1 |
| 40.86 | 21 | 2 2 0 |
| 42.55 | 11 | 2 1 2 |
| 45.73 | 17 | 3 0 1 |
| 52.06 | 13 | 3 0 2 |
| 53.28 | 11 | 2 1 3 |
| 54.25 | 14 | 3 1 2 |
| 62.98 | 11 | 4 1 1 |


Starting from DFT lattice parameters and positions (PBE), the PXRD pattern of NdDy3Co was calculated for Cu Kα.
Neutral-atom scattering factors, no anomalous dispersion.

Structural model:
a b c (Å): 11.690 8.255 8.205
angles (deg): 90.00 133.73 90.00
Space group C2/m (No. 12)
Asymmetric unit:
Nd 0.048 0.000 0.335 (multiplicity 4)
Dy 0.047 0.500 0.251 (multiplicity 4)
Dy 0.249 0.296 0.794 (multiplicity 8)
Co 0.247 0.500 0.109 (multiplicity 4)

Main lines, in order of rising 2θ (10 to 90 degrees two-theta):
| 2theta | I (rel.) | (hkl) |
| --- | --- | --- |
| 30.15 | 51 | 0 0 2 |
| 30.28 | 87 | 2 2 0 |
| 30.60 | 44 | 4 0 -2 |
| 30.73 | 100 | 2 2 -2 |
| 33.50 | 20 | 2 0 1 |
| 33.81 | 23 | 4 0 -1 |
| 34.38 | 37 | 1 3 -1 |
| 34.58 | 51 | 4 0 -3 |
| 42.82 | 20 | 4 0 0 |
| 43.87 | 19 | 0 4 0 |
| 51.27 | 19 | 0 2 3 |
| 51.69 | 17 | 5 3 -2 |